1.
This entry pairs a crystal structure of Zr6O11 with its computed powder X-ray diffraction pattern. Radiation: Cu Kα (λ = 1.5418 Å). Structure: DFT lattice parameters and positions (PBE).

Principal peaks in the range 15° ≤ 2θ ≤ 90°, by angle:
(hkl)  2theta  I (rel.)
1 0 3  29.88  100
0 0 6  34.09  9
1 1 0  34.90  15
1 1 6  49.59  36
2 0 0  50.19  19
0 1 9  58.44  14
1 2 3  59.51  27
2 0 6  62.07  7
2 2 0  73.71  5
2 1 9  80.58  11

Crystal structure
```
data_Zr6O11
_chemical_formula_sum 'Zr6 O11'
_cell_length_a 3.634
_cell_length_b 3.637
_cell_length_c 15.778
_cell_angle_alpha 90.00
_cell_angle_beta 90.00
_cell_angle_gamma 90.00
_space_group_name_H-M_alt 'P 1'
_space_group_IT_number 1
_space_group_name_Hall 'P 1'
loop_
_atom_site_label
_atom_site_fract_x
_atom_site_fract_y
_atom_site_fract_z
_atom_site_occupancy
Zr1 0.000 0.000 0.000 1
Zr2 0.000 0.000 0.330 1
Zr3 0.000 0.000 0.665 1
Zr4 0.500 0.500 0.166 1
Zr5 0.500 0.500 0.498 1
Zr6 0.500 0.500 0.833 1
O1 0.000 0.500 0.067 1
O2 0.000 0.500 0.393 1
O3 0.000 0.500 0.563 1
O4 0.000 0.500 0.732 1
O5 0.000 0.500 0.899 1
O6 0.500 0.000 0.099 1
O7 0.500 0.000 0.263 1
O8 0.500 0.000 0.432 1
O9 0.500 0.000 0.599 1
O10 0.500 0.000 0.766 1
O11 0.500 0.000 0.933 1
```

2.
This entry pairs a crystal structure of ZrO2 with its computed powder X-ray diffraction pattern. Radiation: Cu Kα (λ = 1.5418 Å). Structure: DFT lattice parameters and positions (PBE).

Principal peaks in the range 15° ≤ 2θ ≤ 90°, by angle:
(hkl)  2theta  I (rel.)
1 1 1  25.15  37
1 1 2  29.32  100
0 2 1  34.49  14
1 1 3  35.28  17
2 2 1  49.14  22
2 0 4  49.30  19
1 3 1  54.84  13
0 2 5  56.12  15
1 1 6  58.92  14
1 3 3  60.86  14

Crystal structure
```
data_ZrO2
_chemical_formula_sum 'Zr8 O16'
_cell_length_a 5.288
_cell_length_b 5.373
_cell_length_c 10.341
_cell_angle_alpha 90.00
_cell_angle_beta 90.00
_cell_angle_gamma 90.00
_space_group_name_H-M_alt 'P 1'
_space_group_IT_number 1
_space_group_name_Hall 'P 1'
loop_
_atom_site_label
_atom_site_fract_x
_atom_site_fract_y
_atom_site_fract_z
_atom_site_occupancy
Zr1 0.041 0.159 0.138 1
Zr2 0.041 0.341 0.638 1
Zr3 0.459 0.659 0.138 1
Zr4 0.459 0.841 0.638 1
Zr5 0.541 0.159 0.362 1
Zr6 0.541 0.341 0.862 1
Zr7 0.959 0.659 0.362 1
Zr8 0.959 0.841 0.862 1
O1 0.165 0.670 0.534 1
O2 0.165 0.830 0.034 1
O3 0.249 0.087 0.775 1
O4 0.249 0.413 0.275 1
O5 0.251 0.587 0.775 1
O6 0.251 0.913 0.275 1
O7 0.335 0.170 0.534 1
O8 0.335 0.330 0.034 1
O9 0.665 0.670 0.966 1
O10 0.665 0.830 0.466 1
O11 0.749 0.087 0.725 1
O12 0.749 0.413 0.225 1
O13 0.751 0.587 0.725 1
O14 0.751 0.913 0.225 1
O15 0.835 0.170 0.966 1
O16 0.835 0.330 0.466 1
```

3.
This entry pairs a crystal structure of ZrO2 with its computed powder X-ray diffraction pattern. Radiation: Cu Kα (λ = 1.5418 Å). Structure: DFT lattice parameters and positions (PBE).

Principal peaks in the range 15° ≤ 2θ ≤ 90°, by angle:
(hkl)  2theta  I (rel.)
0 1 1  23.73  14
1 1 0  24.16  13
1 1 -1  27.66  100
1 1 1  31.18  69
0 0 2  33.60  20
2 0 0  34.82  15
2 0 -2  44.38  16
0 2 2  48.57  19
2 2 0  49.48  24
0 1 3  54.44  16

Crystal structure
```
data_ZrO2
_chemical_formula_sum 'Zr4 O8'
_cell_length_a 5.234
_cell_length_b 5.268
_cell_length_c 5.418
_cell_angle_alpha 90.00
_cell_angle_beta 100.05
_cell_angle_gamma 90.00
_space_group_name_H-M_alt 'P 1'
_space_group_IT_number 1
_space_group_name_Hall 'P 1'
loop_
_atom_site_label
_atom_site_fract_x
_atom_site_fract_y
_atom_site_fract_z
_atom_site_occupancy
Zr1 0.224 0.044 0.290 1
Zr2 0.224 0.456 0.790 1
Zr3 0.776 0.544 0.210 1
Zr4 0.776 0.956 0.710 1
O1 0.047 0.744 0.522 1
O2 0.047 0.756 0.022 1
O3 0.439 0.180 0.645 1
O4 0.439 0.320 0.145 1
O5 0.561 0.680 0.855 1
O6 0.561 0.820 0.355 1
O7 0.953 0.244 0.978 1
O8 0.953 0.256 0.478 1
```

4.
This entry pairs a crystal structure of ZrO2 with its computed powder X-ray diffraction pattern. Radiation: Cu Kα (λ = 1.5418 Å). Structure: DFT lattice parameters and positions (PBE).

Principal peaks in the range 15° ≤ 2θ ≤ 90°, by angle:
(hkl)  2theta  I (rel.)
2 0 1  28.69  100
2 1 0  30.89  82
4 0 0  34.45  17
0 1 1  34.61  36
0 0 2  46.82  15
4 1 1  49.63  60
0 2 0  52.57  16
2 1 2  57.15  34
6 0 1  58.23  14
2 2 1  60.98  22

Crystal structure
```
data_ZrO2
_chemical_formula_sum 'Zr4 O8'
_cell_length_a 10.414
_cell_length_b 3.482
_cell_length_c 3.881
_cell_angle_alpha 90.00
_cell_angle_beta 90.00
_cell_angle_gamma 90.00
_space_group_name_H-M_alt 'P 1'
_space_group_IT_number 1
_space_group_name_Hall 'P 1'
loop_
_atom_site_label
_atom_site_fract_x
_atom_site_fract_y
_atom_site_fract_z
_atom_site_occupancy
Zr1 0.119 0.250 0.248 1
Zr2 0.381 0.750 0.748 1
Zr3 0.619 0.250 0.252 1
Zr4 0.881 0.750 0.752 1
O1 0.025 0.250 0.737 1
O2 0.214 0.750 0.069 1
O3 0.286 0.250 0.569 1
O4 0.475 0.750 0.237 1
O5 0.525 0.250 0.763 1
O6 0.714 0.750 0.431 1
O7 0.786 0.250 0.931 1
O8 0.975 0.750 0.263 1
```

5.
This entry pairs a crystal structure of ZrO2 with its computed powder X-ray diffraction pattern. Radiation: Cu Kα (λ = 1.5418 Å). Structure: DFT lattice parameters and positions (PBE).

Principal peaks in the range 15° ≤ 2θ ≤ 90°, by angle:
(hkl)  2theta  I (rel.)
1 1 1  29.70  100
2 0 0  33.50  11
0 0 2  34.78  12
0 2 0  34.97  9
2 0 2  49.06  16
2 2 0  49.21  15
0 2 2  50.14  16
3 1 1  57.56  12
1 1 3  59.24  15
1 3 1  59.49  15

Crystal structure
```
data_ZrO2
_chemical_formula_sum 'Zr4 O8'
_cell_length_a 5.349
_cell_length_b 5.132
_cell_length_c 5.159
_cell_angle_alpha 90.00
_cell_angle_beta 90.00
_cell_angle_gamma 90.00
_space_group_name_H-M_alt 'P 1'
_space_group_IT_number 1
_space_group_name_Hall 'P 1'
loop_
_atom_site_label
_atom_site_fract_x
_atom_site_fract_y
_atom_site_fract_z
_atom_site_occupancy
Zr1 0.030 0.234 0.000 1
Zr2 0.470 0.234 0.500 1
Zr3 0.530 0.766 0.000 1
Zr4 0.970 0.766 0.500 1
O1 0.136 0.433 0.357 1
O2 0.229 0.964 0.753 1
O3 0.271 0.964 0.253 1
O4 0.364 0.433 0.857 1
O5 0.636 0.567 0.357 1
O6 0.729 0.036 0.753 1
O7 0.771 0.036 0.253 1
O8 0.864 0.567 0.857 1
```

6.
This entry pairs a crystal structure of ZrO2 with its computed powder X-ray diffraction pattern. Radiation: Cu Kα (λ = 1.5418 Å). Structure: DFT lattice parameters and positions (PBE).

Principal peaks in the range 15° ≤ 2θ ≤ 90°, by angle:
(hkl)  2theta  I (rel.)
1 0 1  18.12  33
3 0 1  22.05  91
4 0 1  25.01  48
5 0 1  28.40  70
4 1 0  32.55  100
1 1 1  32.82  51
8 0 0  35.81  32
4 1 2  48.98  24
5 1 2  50.97  27
9 1 1  52.80  36

Crystal structure
```
data_ZrO2
_chemical_formula_sum 'Zr8 O16'
_cell_length_a 20.084
_cell_length_b 3.287
_cell_length_c 5.048
_cell_angle_alpha 90.00
_cell_angle_beta 90.00
_cell_angle_gamma 90.00
_space_group_name_H-M_alt 'P 1'
_space_group_IT_number 1
_space_group_name_Hall 'P 1'
loop_
_atom_site_label
_atom_site_fract_x
_atom_site_fract_y
_atom_site_fract_z
_atom_site_occupancy
Zr1 0.069 0.250 0.075 1
Zr2 0.189 0.750 0.576 1
Zr3 0.311 0.250 0.076 1
Zr4 0.431 0.750 0.575 1
Zr5 0.569 0.250 0.425 1
Zr6 0.689 0.750 0.924 1
Zr7 0.811 0.250 0.424 1
Zr8 0.931 0.750 0.925 1
O1 0.013 0.750 0.207 1
O2 0.119 0.750 0.884 1
O3 0.138 0.250 0.393 1
O4 0.239 0.250 0.756 1
O5 0.261 0.750 0.256 1
O6 0.362 0.750 0.893 1
O7 0.381 0.250 0.384 1
O8 0.487 0.250 0.707 1
O9 0.513 0.750 0.293 1
O10 0.619 0.750 0.616 1
O11 0.638 0.250 0.107 1
O12 0.739 0.250 0.744 1
O13 0.761 0.750 0.244 1
O14 0.862 0.750 0.607 1
O15 0.881 0.250 0.116 1
O16 0.987 0.250 0.793 1
```

7.
This entry pairs a crystal structure of ZrO2 with its computed powder X-ray diffraction pattern. Radiation: Cu Kα (λ = 1.5418 Å). Structure: DFT lattice parameters and positions (PBE).

Principal peaks in the range 15° ≤ 2θ ≤ 90°, by angle:
(hkl)  2theta  I (rel.)
0 2 1  23.31  86
1 1 1  23.56  60
1 2 1  28.20  100
2 1 0  32.85  34
1 0 2  34.44  29
1 3 2  44.04  22
2 3 1  44.65  20
0 2 3  50.06  25
1 4 2  50.47  34
2 1 3  58.01  22

Crystal structure
```
data_ZrO2
_chemical_formula_sum 'Zr8 O16'
_cell_length_a 5.665
_cell_length_b 10.051
_cell_length_c 5.865
_cell_angle_alpha 90.00
_cell_angle_beta 90.00
_cell_angle_gamma 90.00
_space_group_name_H-M_alt 'P 1'
_space_group_IT_number 1
_space_group_name_Hall 'P 1'
loop_
_atom_site_label
_atom_site_fract_x
_atom_site_fract_y
_atom_site_fract_z
_atom_site_occupancy
Zr1 0.143 0.130 0.099 1
Zr2 0.143 0.370 0.599 1
Zr3 0.357 0.630 0.099 1
Zr4 0.357 0.870 0.599 1
Zr5 0.643 0.130 0.401 1
Zr6 0.643 0.370 0.901 1
Zr7 0.857 0.630 0.401 1
Zr8 0.857 0.870 0.901 1
O1 0.029 0.731 0.119 1
O2 0.029 0.769 0.619 1
O3 0.174 0.515 0.350 1
O4 0.174 0.985 0.850 1
O5 0.326 0.015 0.350 1
O6 0.326 0.485 0.850 1
O7 0.471 0.231 0.119 1
O8 0.471 0.269 0.619 1
O9 0.529 0.731 0.381 1
O10 0.529 0.769 0.881 1
O11 0.674 0.515 0.150 1
O12 0.674 0.985 0.650 1
O13 0.826 0.015 0.150 1
O14 0.826 0.485 0.650 1
O15 0.971 0.231 0.381 1
O16 0.971 0.269 0.881 1
```